The following is a calculated powder XRD pattern of ZnCrH15N5Cl4F. It was derived from the PBE+U geometry in Alexandria, using λ = 1.5418 Å (Cu Kα).
Kinematic intensities with the Lorentz-polarization factor, no thermal factor.

The 6 most intense peaks (2θ from 5° to 70°), low angle first:
2θ 15.4, I = 100, (1 1 1)
2θ 19.1, I = 40, (0 0 2)
2θ 21.3, I = 68, (1 3 1)
2θ 26.1, I = 43, (2 2 1)
2θ 31.0, I = 40, (2 2 2)
2θ 38.0, I = 34, (2 2 3)

Cell and atoms:
```
data_ZnCrH15N5Cl4F
_symmetry_space_group_name_H-M 'C m c 21'
_symmetry_Int_Tables_number 36
_cell_length_a 8.122
_cell_length_b 17.120
_cell_length_c 9.302
_cell_angle_alpha 90.00
_cell_angle_beta 90.00
_cell_angle_gamma 90.00
loop_
_symmetry_equiv_pos_as_xyz
'x,y,z'
'-x,-y,z+1/2'
'-x,y,z'
'x,-y,z+1/2'
'x+1/2,y+1/2,z'
'-x+1/2,-y+1/2,z+1/2'
'-x+1/2,y+1/2,z'
'x+1/2,-y+1/2,z+1/2'
loop_
_atom_site_label
_atom_site_fract_x
_atom_site_fract_y
_atom_site_fract_z
_atom_site_occupancy
Zn1 0.000 0.113 0.000 1
Cr1 0.000 0.402 0.111 1
H1 0.000 0.261 0.243 1
H2 0.101 0.322 0.347 1
H3 0.141 0.484 0.322 1
H4 0.158 0.332 0.891 1
H5 0.208 0.124 0.496 1
H6 0.209 0.064 0.736 1
H7 0.209 0.484 0.665 1
H8 0.220 0.288 0.039 1
N1 0.000 0.317 0.281 1
N2 0.181 0.466 0.222 1
N3 0.188 0.342 0.997 1
Cl1 0.000 0.020 0.472 1
Cl2 0.000 0.170 0.777 1
Cl3 0.235 0.156 0.112 1
F1 0.000 0.479 0.961 1
```